Record 1
Diffraction record for PdPbI6. The X-ray diffraction stick pattern is theoretical, not measured: it uses a structure optimized by DFT (PBE) and Cu Kα.
Kinematic intensities with the Lorentz-polarization factor, no thermal factor.

Top 8 peaks for 2θ from 15° to 90°, most intense first:
2θ (°)  I/Imax  hkl
28.0  100  1 1 3
36.1  62  2 -1 6
16.6  35  0 1 2
43.7  33  3 0 0
22.4  32  1 0 4
52.7  19  4 -2 3
47.0  19  1 1 9
30.0  18  2 0 2

Cell and atoms:
a b c (Å): 7.1797 7.1797 20.6768
angles (deg): 90.00 90.00 120.00
Space group R-3 (No. 148, hexagonal axes)
Unique sites:
Pd: 0.0000 0.0000 0.0000 [3 per cell]
Pb: 0.0000 0.0000 0.5000 [3 per cell]
I: 0.0046 0.6267 0.5906 [18 per cell]

Record 2
Diffraction record for LaTb7Ho3. The X-ray diffraction stick pattern is theoretical, not measured: it uses a structure optimized by DFT (PBE) and Cu Kα.
Kinematic intensities with the Lorentz-polarization factor, no thermal factor.

Top 8 peaks for 2θ from 15° to 90°, most intense first:
2θ (°)  I/Imax  hkl
33.0  100  0 1 3
31.6  99  2 1 0
32.1  98  0 2 0
31.9  92  2 1 -2
31.8  49  1 1 -3
31.3  37  1 1 2
31.7  31  2 0 1
32.4  29  2 0 -3

Cell and atoms:
a b c (Å): 6.977 5.579 9.884
angles (deg): 90.00 109.33 90.00
Space group P2/m (No. 10)
Unique sites:
La: 0.000 0.000 0.000 [1 per cell]
Tb: 0.000 0.000 0.500 [1 per cell]
Tb: 0.145 0.500 0.789 [2 per cell]
Tb: 0.329 0.500 0.143 [2 per cell]
Tb: 0.425 0.000 0.332 [2 per cell]
Ho: 0.277 0.500 0.497 [2 per cell]
Ho: 0.500 0.000 0.000 [1 per cell]

Record 3
Diffraction record for Y3TmTl3. The X-ray diffraction stick pattern is theoretical, not measured: it uses a structure optimized by DFT (PBE) and Cu Kα.
Kinematic intensities with the Lorentz-polarization factor, no thermal factor.

Top 8 peaks for 2θ from 15° to 90°, most intense first:
2θ (°)  I/Imax  hkl
33.8  100  1 2 1
34.1  25  0 0 2
60.9  25  1 2 3
29.1  24  1 2 0
63.3  16  4 1 2
51.6  15  4 1 0
45.4  15  1 2 2
63.1  11  2 4 1

Cell and atoms:
a b c (Å): 9.3744 9.3744 5.2565
angles (deg): 90.00 90.00 120.00
Space group P6_3/m (No. 176)
Unique sites:
Y: 0.0031 0.7667 0.2500 [6 per cell]
Tm: 0.3333 0.6667 0.2500 [2 per cell]
Tl: 0.0721 0.6215 0.7500 [6 per cell]

Record 4
Diffraction record for Pm8C3Se3N. The X-ray diffraction stick pattern is theoretical, not measured: it uses a structure optimized by DFT (PBE) and Cu Kα.
Kinematic intensities with the Lorentz-polarization factor, no thermal factor.

Top 8 peaks for 2θ from 15° to 90°, most intense first:
2θ (°)  I/Imax  hkl
32.2  100  0 2 4
28.3  55  2 0 2
47.5  38  2 2 0
44.7  26  2 0 8
34.8  24  2 0 5
63.5  18  2 2 9
58.5  18  4 0 4
78.6  15  2 4 4

Cell and atoms:
a b c (Å): 7.6542 7.6542 20.4685
angles (deg): 90.00 90.00 120.00
Space group R-3m (No. 166, hexagonal axes)
Unique sites:
Pm: 0.0000 0.0000 0.2358 [6 per cell]
Pm: 0.0016 0.5008 0.2339 [18 per cell]
C: 0.0000 0.5000 0.5000 [9 per cell]
Se: 0.0000 0.5000 0.0000 [9 per cell]
N: 0.0000 0.0000 0.5000 [3 per cell]